The following is a simulated X-ray diffraction stick pattern of Ca4Mg3In. It was derived from a structure optimized by DFT (GGA-PBE), using Cu Kα (weighted mean of Kα1 and Kα2).

Main lines, sorted by position (10° ≤ 2θ ≤ 90°):
| Position (°2θ) | I_rel |
| --- | --- |
| 18.8 | 24.8 |
| 19.6 | 21.3 |
| 32.2 | 100.0 |
| 32.3 | 99.6 |
| 46.3 | 34.4 |
| 57.6 | 51.5 |

Cell and atoms:
Unit cell a=9.645 b=9.645 c=9.645 alpha=33.37 beta=33.37 gamma=33.37
Element x y z (fractional)
Ca (0.123, 0.123, 0.123)
Ca (0.373, 0.373, 0.373)
Ca (0.627, 0.627, 0.627)
Ca (0.877, 0.877, 0.877)
Mg (0.248, 0.248, 0.248)
Mg (0.500, 0.500, 0.500)
Mg (0.752, 0.752, 0.752)
In (0.000, 0.000, 0.000)